Ag4Se3: computed powder diffraction line list (Cu Kα (weighted mean of Kα1 and Kα2)), based on a DFT-relaxed cell (PBE, Alexandria).
No peak broadening, texture or thermal motion is included.

Peak list (12 most intense, 10° ≤ 2θ ≤ 90°, low angle first)
2θ = 32.3°, I = 61, hkl 1 1 0
2θ = 36.2°, I = 65, hkl 1 1 1
2θ = 37.4°, I = 36, hkl 2 0 0
2θ = 37.6°, I = 100, hkl 1 0 2
2θ = 41.0°, I = 51, hkl 2 0 1
2θ = 57.6°, I = 11, hkl 3 0 0
2θ = 60.2°, I = 14, hkl 3 0 1
2θ = 60.4°, I = 9, hkl 1 1 3
2θ = 61.1°, I = 45, hkl 2 1 2
2θ = 63.7°, I = 18, hkl 2 0 3
2θ = 67.5°, I = 24, hkl 2 2 0
2θ = 79.9°, I = 25, hkl 3 1 2

Atomic structure:
```
data_Ag4Se3
_chemical_formula_sum 'Ag4 Se3'
_cell_length_a 5.547
_cell_length_b 5.547
_cell_length_c 5.521
_cell_angle_alpha 90.00
_cell_angle_beta 90.00
_cell_angle_gamma 120.00
_symmetry_space_group_name_H-M 'P 1'
_symmetry_Int_Tables_number 1
_symmetry_space_group_name_Hall 'P 1'
loop_
_atom_site_label
_atom_site_type_symbol
_atom_site_fract_x
_atom_site_fract_y
_atom_site_fract_z
_atom_site_occupancy
Ag1 Ag 0.000 0.000 0.240 1
Ag2 Ag 0.000 0.000 0.760 1
Ag3 Ag 0.333 0.667 0.000 1
Ag4 Ag 0.667 0.333 0.000 1
Se1 Se 0.000 0.500 0.500 1
Se2 Se 0.500 0.000 0.500 1
Se3 Se 0.500 0.500 0.500 1
```